Diffraction record for LaMg2Ga2Pd. The X-ray powder pattern is theoretical, not measured: it uses a DFT-relaxed cell (GGA-PBE, Alexandria) and Cu Ka.
Intensities are scaled so that the largest is 100.

Principal peaks in the range 15 to 90 degrees two-theta, in order of rising 2θ:
(hkl)  2θ (°)  I (rel.)
1 1 0  24.66  100.0
1 1 2  29.33  49.3
0 0 4  31.49  33.0
2 0 0  35.16  67.6
1 1 4  40.40  35.1
2 0 4  47.91  40.3

Cell and atoms:
a = 5.105 Å, b = 5.105 Å, c = 11.365 Å
α = 90.00°, β = 90.00°, γ = 90.00°
Space group I4/mmm (No. 139)
Inequivalent atoms, fractional coordinates:
La 0.000 0.000 0.000
Mg 0.000 0.500 0.250
Ga 0.000 0.000 0.289
Pd 0.000 0.000 0.500